Structure and computed powder diffractogram of Pm2Y2Bi5 (the PBE geometry in Alexandria; Cu Kα (weighted mean of Kα1 and Kα2)).
Intensities are scaled so that the largest is 100.

Structure:
abc: 16.2402 8.3055 8.5141
angles: 90.00 90.00 90.00
Space group Cmce (No. 64)
Unique sites:
Pm (0.1923, 0.0000, 0.0000)
Y (0.0000, 0.1549, 0.3407)
Bi (0.0000, 0.0000, 0.0000)
Bi (0.1386, 0.1496, 0.6496)

The 6 most intense peaks (10° ≤ 2θ ≤ 90°), by angle:
| two_theta | intensity | (hkl) |
| --- | --- | --- |
| 23.84 | 40 | 0 2 1 |
| 28.76 | 100 | 3 1 2 |
| 31.38 | 49 | 5 1 1 |
| 32.59 | 85 | 4 2 1 |
| 33.83 | 71 | 1 1 3 |
| 34.51 | 66 | 1 3 1 |